# 1
Starting from a DFT-relaxed cell (PBE, Alexandria), the powder diffraction line list of NaZrNbO5 was computed for Cu Kα.
Kinematic intensities with the Lorentz-polarization factor, no thermal factor.

```
data_NaZrNbO5
_chemical_formula_sum 'Na4 Zr4 Nb4 O20'
_cell_length_a 7.2315
_cell_length_b 9.6865
_cell_length_c 7.7737
_cell_angle_alpha 90.00
_cell_angle_beta 113.38
_cell_angle_gamma 90.00
_symmetry_space_group_name_H-M 'C 1 2/c 1'
_symmetry_Int_Tables_number 15
loop_
_symmetry_equiv_pos_as_xyz
'x,y,z'
'-x,-y,-z'
'-x,y,-z+1/2'
'x,-y,z+1/2'
'x+1/2,y+1/2,z'
'-x+1/2,-y+1/2,-z'
'-x+1/2,y+1/2,-z+1/2'
'x+1/2,-y+1/2,z+1/2'
loop_
_atom_site_label
_atom_site_type_symbol
_atom_site_fract_x
_atom_site_fract_y
_atom_site_fract_z
Na1 Na 0.0000 0.1922 0.2500
Zr1 Zr 0.0000 0.5000 0.0000
Nb1 Nb 0.0000 0.1842 0.7500
O1 O 0.0000 0.4319 0.2500
O2 O 0.1100 0.2976 0.6178
O3 O 0.1946 0.0690 0.9194
```

Largest 12 diffraction maxima, in order of falling intensity, 15° ≤ 2θ ≤ 90°:
2θ/deg	I (rel.)	hkl
24.93	100.0	1 1 -2
30.79	86.2	1 3 0
26.86	78.9	2 0 0
31.14	73.2	0 2 2
16.88	60.4	1 1 -1
16.19	43.5	1 1 0
34.16	40.5	2 2 -2
23.50	33.0	1 1 1
49.97	31.9	3 3 0
48.06	27.1	2 2 2
22.18	26.2	0 2 1
52.93	24.7	1 5 -2

---

# 2
Starting from a DFT-relaxed cell (PBE, Alexandria), the powder diffraction line list of Pr2Sm3Ho5 was computed for Cu Kα.
Kinematic intensities with the Lorentz-polarization factor, no thermal factor.

```
data_Pr2Sm3Ho5
_chemical_formula_sum 'Pr8 Sm12 Ho20'
_cell_length_a 10.6342
_cell_length_b 16.2853
_cell_length_c 9.3631
_cell_angle_alpha 90.00
_cell_angle_beta 124.59
_cell_angle_gamma 90.00
_symmetry_space_group_name_H-M 'C 1 2/c 1'
_symmetry_Int_Tables_number 15
loop_
_symmetry_equiv_pos_as_xyz
'x,y,z'
'-x,-y,-z'
'-x,y,-z+1/2'
'x,-y,z+1/2'
'x+1/2,y+1/2,z'
'-x+1/2,-y+1/2,-z'
'-x+1/2,y+1/2,-z+1/2'
'x+1/2,-y+1/2,z+1/2'
loop_
_atom_site_label
_atom_site_type_symbol
_atom_site_fract_x
_atom_site_fract_y
_atom_site_fract_z
Pr1 Pr 0.1439 0.1288 0.0454
Sm1 Sm 0.0000 0.0196 0.2500
Sm2 Sm 0.1533 0.3753 0.5488
Ho1 Ho 0.0000 0.2275 0.2500
Ho2 Ho 0.0000 0.2770 0.7500
Ho3 Ho 0.0000 0.4756 0.7500
Ho4 Ho 0.2379 0.3711 0.2312
```

Largest 12 diffraction maxima, in order of falling intensity, 15° ≤ 2θ ≤ 90°:
2θ/deg	I (rel.)	hkl
29.98	100.0	2 4 0
30.68	88.6	2 2 -3
33.71	42.4	4 0 -2
47.15	22.5	0 0 4
60.63	22.4	4 6 -5
64.55	21.5	2 10 -3
31.98	19.7	0 4 2
48.81	19.4	0 6 3
67.29	18.1	2 4 -6
58.00	15.5	6 4 -4
37.19	15.2	2 6 -1
38.93	14.7	2 0 2

---

# 3
Starting from a DFT-relaxed cell (PBE, Alexandria), the powder diffraction line list of Mg8GaPd2 was computed for Cu Kα.
Kinematic intensities with the Lorentz-polarization factor, no thermal factor.

```
data_Mg8GaPd2
_chemical_formula_sum 'Mg8 Ga1 Pd2'
_cell_length_a 4.5973
_cell_length_b 6.6282
_cell_length_c 8.0043
_cell_angle_alpha 112.24
_cell_angle_beta 106.13
_cell_angle_gamma 90.04
_symmetry_space_group_name_H-M 'P 1'
_symmetry_Int_Tables_number 1
loop_
_symmetry_equiv_pos_as_xyz
'x,y,z'
loop_
_atom_site_label
_atom_site_type_symbol
_atom_site_fract_x
_atom_site_fract_y
_atom_site_fract_z
Mg1 Mg 0.0000 0.0000 0.0000
Mg2 Mg 0.0400 0.5541 0.0844
Mg3 Mg 0.2005 0.0496 0.4044
Mg4 Mg 0.3549 0.8497 0.7099
Mg5 Mg 0.4087 0.3623 0.8208
Mg6 Mg 0.6158 0.2343 0.2340
Mg7 Mg 0.6792 0.7141 0.3646
Mg8 Mg 0.8249 0.5214 0.6531
Ga1 Ga 0.8396 0.1098 0.6803
Pd1 Pd 0.1989 0.4632 0.4028
Pd2 Pd 0.5196 0.7887 0.0429
```

Largest 12 diffraction maxima, in order of falling intensity, 15° ≤ 2θ ≤ 90°:
2θ/deg	I (rel.)	hkl
23.58	100.0	0 1 -2
39.21	63.6	2 0 -1
22.72	38.1	0 1 1
26.94	36.2	1 0 1
37.92	34.9	1 2 0
38.10	33.9	-1 2 1
45.59	26.9	1 3 -2
39.01	24.9	1 -2 2
38.21	21.2	0 0 3
46.08	20.4	0 3 -3
27.24	19.3	1 0 -2
44.66	15.8	0 3 0